[1]
# Sm2AlCo12B3
Theoretical XRD peak list, Cu Kα (λ = 1.5418 Å). Input: a crystal structure in Alexandria, relaxed with PBE.
No peak broadening, texture or thermal motion is included.

Cell and atoms:
Lattice parameters (Å, degrees): 6.8650 6.8650 6.8650 61.18 61.18 61.18
Fractional coordinates of all 18 atoms:
Sm  0.0896  0.0896  0.0896
Sm  0.9104  0.9104  0.9104
Al  0.5000  0.5000  0.5000
Co  0.0304  0.6540  0.6540
Co  0.2415  0.2415  0.6114
Co  0.2415  0.6114  0.2415
Co  0.3460  0.3460  0.9696
Co  0.3460  0.9696  0.3460
Co  0.3886  0.7585  0.7585
Co  0.6114  0.2415  0.2415
Co  0.6540  0.0304  0.6540
Co  0.6540  0.6540  0.0304
Co  0.7585  0.3886  0.7585
Co  0.7585  0.7585  0.3886
Co  0.9696  0.3460  0.3460
B  0.0000  0.5000  0.5000
B  0.5000  0.0000  0.5000
B  0.5000  0.5000  0.0000

Peak list (10 most intense, 10 to 90 degrees two-theta, in order of rising 2θ)
| d/Å | 2θ (°) | intensity |
| --- | --- | --- |
| 3.493 | 25.50 | 24 |
| 2.977 | 30.02 | 47 |
| 2.448 | 36.71 | 24 |
| 2.240 | 40.26 | 100 |
| 2.215 | 40.73 | 50 |
| 2.205 | 40.92 | 78 |
| 1.896 | 47.99 | 35 |
| 1.747 | 52.38 | 24 |
| 1.499 | 61.91 | 22 |
| 1.199 | 80.02 | 24 |

***

[2]
# Tb2AlCo12B3
Theoretical XRD peak list, Cu Kα (λ = 1.5418 Å). Input: a crystal structure in Alexandria, relaxed with PBE.
No peak broadening, texture or thermal motion is included.

Cell and atoms:
Lattice parameters (Å, degrees): 6.8036 6.8036 6.8036 61.51 61.51 61.51
Fractional coordinates of all 18 atoms:
Tb  0.0888  0.0888  0.0888
Tb  0.9112  0.9112  0.9112
Al  0.5000  0.5000  0.5000
Co  0.0328  0.6555  0.6555
Co  0.2403  0.2403  0.6154
Co  0.2403  0.6154  0.2403
Co  0.3445  0.3445  0.9672
Co  0.3445  0.9672  0.3445
Co  0.3846  0.7597  0.7597
Co  0.6154  0.2403  0.2403
Co  0.6555  0.0328  0.6555
Co  0.6555  0.6555  0.0328
Co  0.7597  0.3846  0.7597
Co  0.7597  0.7597  0.3846
Co  0.9672  0.3445  0.3445
B  0.0000  0.5000  0.5000
B  0.5000  0.0000  0.5000
B  0.5000  0.5000  0.0000

Peak list (10 most intense, 10 to 90 degrees two-theta, in order of rising 2θ)
| d/Å | 2θ (°) | intensity |
| --- | --- | --- |
| 5.660 | 15.66 | 20 |
| 3.479 | 25.60 | 20 |
| 2.964 | 30.15 | 38 |
| 2.432 | 36.97 | 18 |
| 2.223 | 40.57 | 76 |
| 2.194 | 41.14 | 100 |
| 2.155 | 41.92 | 17 |
| 1.887 | 48.24 | 25 |
| 1.740 | 52.61 | 20 |
| 1.192 | 80.58 | 27 |